The following is a simulated XRD peak list of Sm2DyCo2B2P3. It was derived from a crystal structure in OQMD, relaxed with PBE, using CuKα.
Neutral-atom scattering factors, no anomalous dispersion.

Structure:
a b c (Å): 3.914 3.914 21.860
angles (deg): 90.00 90.00 90.00
Space group I4/mmm (No. 139)
One atom of each set of equivalent atoms:
1 Sm 0.000 0.000 0.138 [4 per cell]
2 Dy 0.000 0.000 0.500 [2 per cell]
3 Co 0.000 0.500 0.250 [4 per cell]
4 B 0.000 0.000 0.285 [4 per cell]
5 P 0.000 0.000 0.000 [2 per cell]
6 P 0.000 0.000 0.375 [4 per cell]

Largest 10 diffraction maxima, by angle, 2θ from 10° to 90°:
| 2θ/deg | I (rel.) | hkl |
| --- | --- | --- |
| 25.84 | 100 | 1 0 3 |
| 30.66 | 27 | 1 0 5 |
| 32.34 | 52 | 1 1 0 |
| 32.77 | 48 | 0 0 8 |
| 33.39 | 31 | 1 1 2 |
| 36.38 | 28 | 1 1 4 |
| 40.95 | 56 | 1 1 6 |
| 46.39 | 45 | 2 0 0 |
| 53.86 | 28 | 2 1 3 |
| 57.96 | 36 | 2 0 8 |

The following is a simulated XRD peak list of Pr2Dy3Co2B6. It was derived from a crystal structure in OQMD, relaxed with PBE, using CuKα.
Neutral-atom scattering factors, no anomalous dispersion.

Structure:
a b c (Å): 5.4235 5.4235 23.9877
angles (deg): 90.00 90.00 120.00
Space group R-3m (No. 166, hexagonal axes)
One atom of each set of equivalent atoms:
1 Pr 0.0000 0.0000 0.0872 [6 per cell]
2 Dy 0.0000 0.0000 0.2518 [6 per cell]
3 Dy 0.0000 0.0000 0.5000 [3 per cell]
4 Co 0.0000 0.0000 0.3793 [6 per cell]
5 B 0.0000 0.3327 0.0000 [18 per cell]

Largest 10 diffraction maxima, by angle, 2θ from 10° to 90°:
| 2θ/deg | I (rel.) | hkl |
| --- | --- | --- |
| 22.24 | 20 | 0 0 6 |
| 26.56 | 27 | 0 1 5 |
| 32.34 | 25 | 1 0 7 |
| 33.03 | 100 | 1 1 0 |
| 35.52 | 29 | 0 1 8 |
| 40.18 | 37 | 1 1 6 |
| 57.25 | 22 | 1 1 12 |
| 59.00 | 22 | 3 0 0 |
| 60.62 | 12 | 1 2 8 |
| 69.30 | 12 | 2 2 0 |

The following is a simulated XRD peak list of Pr2Dy3Co2B6. It was derived from a crystal structure in OQMD, relaxed with PBE, using CuKα.
Neutral-atom scattering factors, no anomalous dispersion.

Structure:
a b c (Å): 5.4404 5.4404 23.9279
angles (deg): 90.00 90.00 120.00
Space group R-3m (No. 166, hexagonal axes)
One atom of each set of equivalent atoms:
1 Pr 0.0000 0.0000 0.2448 [6 per cell]
2 Dy 0.0000 0.0000 0.0807 [6 per cell]
3 Dy 0.0000 0.0000 0.5000 [3 per cell]
4 Co 0.0000 0.0000 0.3786 [6 per cell]
5 B 0.0000 0.3319 0.0000 [18 per cell]

Largest 10 diffraction maxima, by angle, 2θ from 10° to 90°:
| 2θ/deg | I (rel.) | hkl |
| --- | --- | --- |
| 22.29 | 19 | 0 0 6 |
| 26.55 | 18 | 0 1 5 |
| 32.36 | 49 | 1 0 7 |
| 32.93 | 100 | 1 1 0 |
| 35.55 | 14 | 0 1 8 |
| 40.13 | 35 | 1 1 6 |
| 46.84 | 17 | 0 2 7 |
| 57.29 | 20 | 1 1 12 |
| 58.44 | 18 | 2 1 7 |
| 58.80 | 22 | 3 0 0 |

The following is a simulated XRD peak list of Er5Co2B6. It was derived from a crystal structure in OQMD, relaxed with PBE, using CuKα.
Neutral-atom scattering factors, no anomalous dispersion.

Structure:
a b c (Å): 5.3765 5.3765 22.8639
angles (deg): 90.00 90.00 120.00
Space group R-3m (No. 166, hexagonal axes)
One atom of each set of equivalent atoms:
1 Er 0.0000 0.0000 0.0000 [3 per cell]
2 Er 0.0000 0.0000 0.2518 [6 per cell]
3 Er 0.0000 0.0000 0.4158 [6 per cell]
4 Co 0.0000 0.0000 0.1190 [6 per cell]
5 B 0.0000 0.3315 0.5000 [18 per cell]

Largest 10 diffraction maxima, by angle, 2θ from 10° to 90°:
| 2θ/deg | I (rel.) | hkl |
| --- | --- | --- |
| 23.34 | 21 | 0 0 6 |
| 27.34 | 22 | 0 1 5 |
| 33.33 | 100 | 1 1 0 |
| 33.51 | 33 | 1 0 7 |
| 36.90 | 19 | 0 1 8 |
| 41.09 | 39 | 1 1 6 |
| 47.99 | 13 | 0 2 7 |
| 59.46 | 22 | 1 1 12 |
| 59.57 | 22 | 3 0 0 |
| 59.68 | 12 | 2 1 7 |